Calculated powder diffraction line list
Compound: Na10NbGaAs6
Radiation: CuKα
Structure: the GGA-PBE geometry in the Materials Project
Peak positions follow from Bragg's law for the DFT cell and can differ from measured ones.

Main lines, sorted by position (2θ = 15–90°):
(hkl), 2θ (°), d_spacing, I (rel.)
1 1 -1, 15.78, 5.616, 55
0 2 0, 23.55, 3.778, 67
2 1 -2, 24.26, 3.669, 59
1 2 2, 32.45, 2.759, 69
1 2 -4, 32.68, 2.741, 100
1 3 -1, 37.28, 2.412, 62
3 0 0, 37.40, 2.405, 66
3 0 -6, 38.01, 2.368, 57
0 0 6, 39.48, 2.283, 96
2 3 -2, 41.83, 2.160, 56

Structural model:
Lattice parameters (Å, degrees): 8.3963 7.5551 15.9430 90.00 120.78 90.00
Element x y z (fractional)
Na 0.0000 0.0896 0.0000
Na 0.0000 0.9104 0.5000
Na 0.0112 0.4037 0.1599
Na 0.0112 0.5963 0.6599
Na 0.0995 0.2711 0.8366
Na 0.0995 0.7289 0.3366
Na 0.2900 0.2303 0.6759
Na 0.2900 0.7697 0.1759
Na 0.4034 0.2640 0.1623
Na 0.4034 0.7360 0.6623
Na 0.5928 0.2227 0.9969
Na 0.5928 0.7773 0.4969
Na 0.6823 0.0927 0.6772
Na 0.6823 0.9073 0.1772
Na 0.6900 0.4076 0.8358
Na 0.6900 0.5924 0.3358
Na 0.7650 0.2620 0.5067
Na 0.7650 0.7380 0.0067
Na 0.9259 0.2324 0.3265
Na 0.9259 0.7676 0.8265
Nb 0.3578 0.3830 0.4966
Nb 0.3578 0.6170 0.9966
Ga 0.3340 0.1103 0.3340
Ga 0.3340 0.8897 0.8340
As 0.0297 0.0176 0.1898
As 0.0297 0.9824 0.6898
As 0.0792 0.4926 0.9968
As 0.0792 0.5074 0.4968
As 0.3272 0.0527 0.4925
As 0.3272 0.9473 0.9925
As 0.3661 0.4567 0.3451
As 0.3661 0.5433 0.8451
As 0.6206 0.0050 0.8398
As 0.6206 0.9950 0.3398
As 0.6555 0.4806 0.6436
As 0.6555 0.5194 0.1436